Structure and simulated X-ray diffraction stick pattern of CaZnPI (a structure optimized by DFT (GGA-PBE); Cu Kα (λ = 1.5418 Å)).

Crystal structure
Cell lengths 4.1586, 4.1586, 44.4234 Å; angles 90.00, 90.00, 120.00 degrees
Space group R-3m (No. 166, hexagonal axes)
Asymmetric unit:
Ca  0.0000  0.0000  0.0758 (multiplicity 6)
Zn  0.0000  0.0000  0.3129 (multiplicity 6)
P  0.0000  0.0000  0.3695 (multiplicity 6)
I  0.0000  0.0000  0.2139 (multiplicity 6)

Largest 6 diffraction maxima, low angle first, 10° ≤ 2θ ≤ 80°:
- 4.936 Å, intensity 42, (0 0 9)
- 3.555 Å, intensity 96, (0 1 2)
- 3.132 Å, intensity 100, (1 0 7)
- 2.798 Å, intensity 39, (1 0 10)
- 2.079 Å, intensity 79, (1 1 0)
- 1.483 Å, intensity 44, (1 1 21)